AcPm2Tl2Cd2: simulated XRD peak list (Cu Kα (weighted mean of Kα1 and Kα2)), based on DFT lattice parameters and positions (GGA-PBE).
Neutral-atom scattering factors, no anomalous dispersion.

Main lines, in order of rising 2θ (2θ from 10° to 90°):
23.8°, rel. 139
30.1°, rel. 1000
32.6°, rel. 272
35.2°, rel. 937
47.0°, rel. 295
48.7°, rel. 136
60.0°, rel. 283
61.5°, rel. 230
63.1°, rel. 172
82.3°, rel. 116

Structural model:
```
AcPm2Tl2Cd2
1.0
2.551 1.473 9.353
-2.551 1.473 9.353
0.000 -2.945 9.353
Ac Pm Tl Cd
1 2 2 2
Cartesian
0.000 0.000 0.000
0.000 0.000 3.794
0.000 0.000 24.264
0.000 0.000 7.416
0.000 0.000 20.642
0.000 0.000 12.095
0.000 0.000 15.963
```

CdHgOs: simulated XRD peak list (Cu Kα (weighted mean of Kα1 and Kα2)), based on DFT lattice parameters and positions (GGA-PBE).
Neutral-atom scattering factors, no anomalous dispersion.

Main lines, in order of rising 2θ (2θ from 10° to 90°):
11.8°, rel. 127
35.3°, rel. 348
35.8°, rel. 356
39.7°, rel. 1000
51.2°, rel. 236
66.3°, rel. 222
67.0°, rel. 203
74.6°, rel. 120
85.6°, rel. 168
88.7°, rel. 101

Structural model:
```
CdHgOs
1.0
0.000 2.545 7.515
1.470 0.000 7.515
1.470 2.545 0.000
Cd Hg Os
1 1 1
Cartesian
0.000 0.000 0.000
1.470 2.545 4.837
1.470 2.545 9.903
```

Sr2Tl2Pd3: simulated XRD peak list (Cu Kα (weighted mean of Kα1 and Kα2)), based on DFT lattice parameters and positions (GGA-PBE).
Neutral-atom scattering factors, no anomalous dispersion.

Main lines, in order of rising 2θ (2θ from 10° to 90°):
19.6°, rel. 360
32.3°, rel. 781
34.8°, rel. 686
35.6°, rel. 213
35.9°, rel. 222
37.3°, rel. 1000
38.1°, rel. 286
40.9°, rel. 218
60.9°, rel. 233
61.5°, rel. 192

Structural model:
```
Sr2Tl2Pd3
1.0
4.392 -2.772 0.000
4.392 2.772 0.000
-3.698 0.000 7.248
Sr Tl Pd
2 2 3
Cartesian
-0.469 0.000 2.389
5.554 0.000 4.859
2.493 0.000 0.815
2.592 0.000 6.433
-0.078 0.000 5.519
2.543 0.000 3.624
5.164 0.000 1.729
```

Cs4SnO4: simulated XRD peak list (Cu Kα (weighted mean of Kα1 and Kα2)), based on DFT lattice parameters and positions (GGA-PBE).
Neutral-atom scattering factors, no anomalous dispersion.

Main lines, in order of rising 2θ (2θ from 10° to 90°):
26.5°, rel. 1000
27.3°, rel. 623
32.6°, rel. 508
42.4°, rel. 190
43.6°, rel. 155
47.2°, rel. 144
47.8°, rel. 108
48.3°, rel. 112
54.5°, rel. 138
59.9°, rel. 116

Structural model:
```
Cs4SnO4
1.0
11.908 0.000 0.000
0.000 7.469 0.000
-4.275 0.000 11.110
Cs Sn O
16 4 16
Cartesian
-0.156 0.683 2.153
-2.294 3.051 7.708
1.463 4.566 1.023
-0.674 6.638 6.578
0.529 4.886 9.904
2.666 6.318 4.349
1.699 1.300 8.855
3.836 2.435 3.300
3.797 5.035 7.811
5.934 6.169 2.255
4.967 1.151 6.762
7.104 2.583 1.207
8.307 0.832 4.533
6.170 2.903 10.088
9.926 4.418 3.403
7.789 6.786 8.958
-1.353 0.965 11.048
0.785 2.770 5.493
6.848 4.700 5.617
8.986 6.504 0.062
-3.153 1.815 10.782
-1.016 1.920 5.227
1.181 3.817 3.829
-0.956 7.387 9.384
0.784 3.923 7.143
2.922 7.281 1.587
2.168 1.342 5.777
4.306 2.392 0.222
3.327 5.077 10.889
5.465 6.127 5.333
4.711 0.188 9.523
6.849 3.546 3.968
8.589 0.082 1.726
6.451 3.653 7.281
8.649 5.550 5.883
10.786 5.654 0.328
```

PuTeRhO6: simulated XRD peak list (Cu Kα (weighted mean of Kα1 and Kα2)), based on DFT lattice parameters and positions (GGA-PBE).
Neutral-atom scattering factors, no anomalous dispersion.

Main lines, in order of rising 2θ (2θ from 10° to 90°):
20.2°, rel. 262
21.1°, rel. 204
27.5°, rel. 1000
32.3°, rel. 690
38.4°, rel. 364
42.9°, rel. 301
53.2°, rel. 512
54.7°, rel. 296
57.6°, rel. 232
82.3°, rel. 141

Structural model:
```
PuTeRhO6
1.0
5.542 0.000 0.000
-2.771 4.799 0.000
0.000 0.000 8.793
Pu Te Rh O
2 2 2 12
Cartesian
0.000 3.200 2.198
2.771 1.600 6.595
0.000 3.200 6.595
2.771 1.600 2.198
0.000 0.000 0.000
0.000 0.000 4.397
-0.872 1.571 1.083
-1.847 3.259 3.314
0.872 1.571 3.314
-0.975 4.769 1.083
1.796 0.030 5.479
0.924 1.540 7.710
1.847 3.259 1.083
0.975 4.769 3.314
3.746 0.030 7.710
1.899 3.229 5.479
4.618 1.540 5.479
3.643 3.229 7.710
```

MgSi7Os3: simulated XRD peak list (Cu Kα (weighted mean of Kα1 and Kα2)), based on DFT lattice parameters and positions (GGA-PBE).
Neutral-atom scattering factors, no anomalous dispersion.

Main lines, in order of rising 2θ (2θ from 10° to 90°):
23.1°, rel. 188
27.0°, rel. 1000
27.5°, rel. 190
36.2°, rel. 178
40.7°, rel. 279
48.3°, rel. 320
49.5°, rel. 299
49.8°, rel. 323
65.9°, rel. 193
72.2°, rel. 131

Structural model:
```
MgSi7Os3
1.0
3.842 2.218 6.485
-3.842 2.218 6.485
0.000 -4.437 6.485
Mg Si Os
2 14 6
Cartesian
0.000 0.000 0.000
0.000 0.000 9.728
-3.075 -0.945 10.312
-0.719 -3.135 9.144
-0.719 -1.301 7.070
0.000 0.000 4.864
-2.356 2.190 9.144
-0.768 1.273 7.070
-1.486 -0.028 12.386
1.486 0.028 7.070
0.768 -1.273 12.387
2.356 -2.190 10.312
0.000 0.000 14.592
0.719 1.301 12.387
0.719 3.135 10.312
3.075 0.945 9.144
-2.566 -0.008 8.107
-1.276 -2.227 11.349
1.290 -2.218 8.107
-1.290 2.218 11.349
1.276 2.227 8.107
2.566 0.008 11.349
```

TmCo4P2: simulated XRD peak list (Cu Kα (weighted mean of Kα1 and Kα2)), based on DFT lattice parameters and positions (GGA-PBE).
Neutral-atom scattering factors, no anomalous dispersion.

Main lines, in order of rising 2θ (2θ from 10° to 90°):
25.3°, rel. 146
28.4°, rel. 210
38.4°, rel. 1000
40.6°, rel. 445
44.7°, rel. 169
48.5°, rel. 189
52.0°, rel. 180
60.3°, rel. 150
68.0°, rel. 232
72.4°, rel. 257

Structural model:
```
TmCo4P2
1.0
7.027 0.000 0.000
0.000 7.027 0.000
0.000 0.000 3.518
Tm Co P
2 8 4
Cartesian
0.000 0.000 0.000
3.514 3.514 1.759
0.558 2.367 1.759
1.146 4.071 0.000
2.367 0.558 1.759
2.956 5.881 0.000
4.071 1.146 0.000
4.660 6.469 1.759
5.881 2.956 0.000
6.469 4.660 1.759
1.579 5.448 1.759
1.934 1.934 0.000
5.093 5.093 0.000
5.448 1.579 1.759
```